Simulated XRD peak list
Compound: Ta3Hg2I9
Radiation: λ = 1.5418 Å (Cu Kα)
Structure: the PBE geometry in Alexandria
Lines closer than 0.1° are merged.

Structure:
Cell lengths 11.2456, 11.2456, 11.6563 Å; angles 106.76, 106.76, 110.09 degrees
Element x y z (fractional)
1 Ta 0.0328 0.2005 0.6374
2 Ta 0.0896 0.0896 0.4180
3 Ta 0.2005 0.0328 0.6374
4 Ta 0.7995 0.9672 0.3626
5 Ta 0.9104 0.9104 0.5820
6 Ta 0.9672 0.7995 0.3626
7 Hg 0.1520 0.4604 0.2026
8 Hg 0.4604 0.1520 0.2026
9 Hg 0.5396 0.8480 0.7974
10 Hg 0.8480 0.5396 0.7974
11 I 0.0923 0.4865 0.8414
12 I 0.0966 0.8923 0.2078
13 I 0.1077 0.9034 0.7922
14 I 0.1757 0.3805 0.5421
15 I 0.2121 0.7879 0.5000
16 I 0.2949 0.2949 0.8443
17 I 0.3296 0.3296 0.2191
18 I 0.3805 0.1757 0.5421
19 I 0.4865 0.0923 0.8414
20 I 0.5135 0.9077 0.1586
21 I 0.6195 0.8243 0.4579
22 I 0.6704 0.6704 0.7809
23 I 0.7051 0.7051 0.1557
24 I 0.7879 0.2121 0.5000
25 I 0.8243 0.6195 0.4579
26 I 0.8923 0.0966 0.2078
27 I 0.9034 0.1077 0.7922
28 I 0.9077 0.5135 0.1586

Peak list (6 most intense, 10° ≤ 2θ ≤ 90°, in order of rising 2θ)
13.77°, rel. 87; 15.93°, rel. 52; 23.04°, rel. 54; 29.23°, rel. 70; 29.64°, rel. 76; 33.41°, rel. 100

=====

Simulated XRD peak list
Compound: Ta4HgI7
Radiation: λ = 1.5418 Å (Cu Kα)
Structure: the PBE geometry in Alexandria
Lines closer than 0.1° are merged.

Structure:
Cell lengths 3.6740, 24.0612, 9.9739 Å; angles 90.00, 92.74, 90.00 degrees
Element x y z (fractional)
1 Ta 0.2422 0.0431 0.4396
2 Ta 0.2422 0.4569 0.4396
3 Ta 0.2564 0.6336 0.5542
4 Ta 0.2564 0.8664 0.5542
5 Ta 0.7436 0.1336 0.4458
6 Ta 0.7436 0.3664 0.4458
7 Ta 0.7578 0.5431 0.5604
8 Ta 0.7578 0.9569 0.5604
9 Hg 0.3125 0.2500 0.9853
10 Hg 0.6875 0.7500 0.0147
11 I 0.2151 0.1212 0.2236
12 I 0.2151 0.3788 0.2236
13 I 0.2256 0.6666 0.3005
14 I 0.2256 0.8334 0.3005
15 I 0.2544 0.7500 0.6431
16 I 0.2776 0.0230 0.7160
17 I 0.2776 0.4770 0.7160
18 I 0.7224 0.5230 0.2840
19 I 0.7224 0.9770 0.2840
20 I 0.7456 0.2500 0.3569
21 I 0.7744 0.1666 0.6995
22 I 0.7744 0.3334 0.6995
23 I 0.7849 0.6212 0.7764
24 I 0.7849 0.8788 0.7764

Peak list (6 most intense, 10° ≤ 2θ ≤ 90°, in order of rising 2θ)
11.53°, rel. 100; 25.74°, rel. 40; 27.45°, rel. 38; 30.64°, rel. 66; 31.62°, rel. 34; 36.26°, rel. 35

=====

Simulated XRD peak list
Compound: Tb2HgI2
Radiation: λ = 1.5418 Å (Cu Kα)
Structure: the PBE geometry in Alexandria
Lines closer than 0.1° are merged.

Structure:
Cell lengths 12.3305, 12.3305, 12.3305 Å; angles 19.36, 19.36, 19.36 degrees
Element x y z (fractional)
1 Tb 0.1141 0.1141 0.1141
2 Tb 0.8859 0.8859 0.8859
3 Hg 0.5000 0.5000 0.5000
4 I 0.2757 0.2757 0.2757
5 I 0.7243 0.7243 0.7243

Peak list (6 most intense, 10° ≤ 2θ ≤ 90°, in order of rising 2θ)
27.72°, rel. 100; 31.78°, rel. 46; 35.16°, rel. 20; 40.95°, rel. 42; 43.66°, rel. 39; 64.48°, rel. 29

=====

Simulated XRD peak list
Compound: TcHgI2
Radiation: λ = 1.5418 Å (Cu Kα)
Structure: the PBE geometry in Alexandria
Lines closer than 0.1° are merged.

Structure:
Cell lengths 7.4074, 7.4074, 7.4074 Å; angles 113.68, 113.68, 101.34 degrees
Element x y z (fractional)
1 Tc 0.0000 0.0000 0.0000
2 Tc 0.7500 0.2500 0.5000
3 Hg 0.2500 0.7500 0.5000
4 Hg 0.5000 0.5000 0.0000
5 I 0.0121 0.1250 0.3871
6 I 0.3750 0.9879 0.1129
7 I 0.7379 0.6250 0.6129
8 I 0.8750 0.2621 0.8871

Peak list (6 most intense, 10° ≤ 2θ ≤ 90°, in order of rising 2θ)
24.51°, rel. 100; 26.36°, rel. 50; 31.22°, rel. 25; 40.09°, rel. 40; 44.61°, rel. 32; 50.36°, rel. 18

=====

Simulated XRD peak list
Compound: Hg4Te5I
Radiation: λ = 1.5418 Å (Cu Kα)
Structure: the PBE geometry in Alexandria
Lines closer than 0.1° are merged.

Structure:
Cell lengths 9.2161, 13.1084, 6.1484 Å; angles 90.00, 90.00, 90.00 degrees
Element x y z (fractional)
1 Hg 0.0022 0.2500 0.0300
2 Hg 0.2500 0.5765 0.3978
3 Hg 0.2500 0.9235 0.3978
4 Hg 0.4978 0.2500 0.0300
5 Hg 0.5022 0.7500 0.9700
6 Hg 0.7500 0.0765 0.6022
7 Hg 0.7500 0.4235 0.6022
8 Hg 0.9978 0.7500 0.9700
9 Te 0.0282 0.0574 0.8095
10 Te 0.0282 0.4426 0.8095
11 Te 0.2500 0.7500 0.6901
12 Te 0.4718 0.0574 0.8095
13 Te 0.4718 0.4426 0.8095
14 Te 0.5282 0.5574 0.1905
15 Te 0.5282 0.9426 0.1905
16 Te 0.7500 0.2500 0.3099
17 Te 0.9718 0.5574 0.1905
18 Te 0.9718 0.9426 0.1905
19 I 0.2500 0.2500 0.3647
20 I 0.7500 0.7500 0.6353

Peak list (6 most intense, 10° ≤ 2θ ≤ 90°, in order of rising 2θ)
24.14°, rel. 100; 25.01°, rel. 84; 37.76°, rel. 40; 39.10°, rel. 29; 40.89°, rel. 51; 48.43°, rel. 26

=====

Simulated XRD peak list
Compound: Hg2TeI6
Radiation: λ = 1.5418 Å (Cu Kα)
Structure: the PBE geometry in Alexandria
Lines closer than 0.1° are merged.

Structure:
Cell lengths 9.2493, 9.2493, 7.7241 Å; angles 90.00, 90.00, 120.00 degrees
Element x y z (fractional)
1 Hg 0.3333 0.6667 0.2310
2 Hg 0.6667 0.3333 0.7690
3 Te 0.0000 0.0000 0.0000
4 I 0.1561 0.3122 0.2285
5 I 0.1561 0.8439 0.2285
6 I 0.3122 0.1561 0.7715
7 I 0.6878 0.8439 0.2285
8 I 0.8439 0.1561 0.7715
9 I 0.8439 0.6878 0.7715

Peak list (6 most intense, 10° ≤ 2θ ≤ 90°, in order of rising 2θ)
15.94°, rel. 100; 23.03°, rel. 24; 31.74°, rel. 51; 32.20°, rel. 29; 38.95°, rel. 29; 45.73°, rel. 21